Starting from a GGA-PBE-relaxed structure, the powder diffractogram of CsNb2PS10 was simulated for CuKα.
Lines closer than 0.1° are merged.

Largest 10 diffraction maxima, in order of rising 2θ, 5 to 70 degrees two-theta:
d/Å	I (rel.)
7.764	22.3
7.195	47.9
5.277	100.0
4.842	20.6
3.882	34.3
3.599	27.1
2.879	23.7
2.420	41.7
2.313	19.7
2.031	18.2

Cell and atoms:
```
CsNb2PS10
1.0
14.4573 0.0000 0.0000
0.0000 7.7637 0.0000
-1.2716 0.0000 13.1094
Cs Nb P S
4 8 4 40
Cartesian
0.0000 0.0033 0.0000
-0.6358 7.7603 6.5547
6.9317 0.1407 3.2045
6.2959 7.6230 9.7592
2.1812 3.3749 10.9644
2.8170 4.3888 4.4097
3.1230 3.4100 1.6644
2.4872 4.3537 8.2191
9.7578 3.4422 7.9094
10.3936 4.3215 1.3547
9.4212 3.3480 11.7174
10.0570 4.4157 5.1627
3.0622 0.7746 12.9570
3.6980 6.9891 6.4023
10.6205 0.7762 9.8156
11.2563 6.9875 3.2609
0.5892 2.9015 9.0981
1.1645 2.9167 3.1443
0.5287 4.8470 9.6990
1.2250 4.8622 2.5434
0.2784 3.4882 12.6991
0.9141 4.2754 6.1444
2.2239 2.6912 6.2631
1.5881 5.0724 12.8178
1.9404 0.8036 11.2204
2.5762 6.9601 4.6657
3.1553 0.7878 1.5503
2.5195 6.9759 8.1050
4.1123 2.8320 9.3704
4.7481 4.9317 2.8157
3.7701 2.7626 13.0156
4.4059 5.0010 6.4609
4.7528 3.0352 3.5929
4.1170 4.7285 10.1476
5.0740 0.6625 6.4201
4.4382 7.1012 12.9748
8.1087 3.0487 6.0792
7.4729 4.7150 12.6339
7.8519 3.4976 9.6402
8.4877 4.2661 3.0855
8.7912 2.7702 0.1248
8.1555 4.9935 6.6795
9.8006 2.6886 3.2648
9.1648 5.0751 9.8195
9.5125 0.8584 8.0721
10.1483 6.9053 1.5174
9.4262 0.7448 11.5053
10.0620 7.0189 4.9506
11.3442 2.7546 9.9480
11.6893 2.9256 6.3255
11.0536 4.8381 12.8802
11.9800 5.0091 3.3933
12.3248 2.9432 0.5513
11.6890 4.8205 7.1060
12.6248 0.6676 3.2388
11.9890 7.0960 9.7935
```